# 1
Diffraction record for Gd2C3. The X-ray powder pattern is simulated, not measured: it uses a crystal structure in the Materials Project, relaxed with GGA-PBE and Cu Kα X-rays.
No peak broadening, texture or thermal motion is included.

Most intense lines, 15° ≤ 2θ ≤ 90°, sorted by position:
- 26.1 deg, d = 3.410 Å, intensity 48.8
- 30.3 deg, d = 2.953 Å, intensity 96.0
- 33.9 deg, d = 2.641 Å, intensity 100.0
- 40.4 deg, d = 2.232 Å, intensity 52.1
- 56.2 deg, d = 1.638 Å, intensity 65.8
- 60.7 deg, d = 1.525 Å, intensity 27.8

Cell and atoms:
Unit cell a=8.3520 b=8.3520 c=8.3520 alpha=90.00 beta=90.00 gamma=90.00
Space group I-43d (No. 220)
Inequivalent atoms, fractional coordinates:
Gd 0.0515 0.4485 0.5515 (multiplicity 16)
C 0.0000 0.2500 0.7948 (multiplicity 24)



# 2
Diffraction record for SrAuO3. The X-ray powder pattern is simulated, not measured: it uses a crystal structure in the Materials Project, relaxed with GGA-PBE and Cu Kα X-rays.
No peak broadening, texture or thermal motion is included.

Most intense lines, 15° ≤ 2θ ≤ 90°, sorted by position:
- 21.5 deg, d = 4.136 Å, intensity 25.9
- 30.6 deg, d = 2.924 Å, intensity 100.0
- 43.8 deg, d = 2.068 Å, intensity 28.8
- 54.3 deg, d = 1.688 Å, intensity 41.1
- 63.6 deg, d = 1.462 Å, intensity 18.2
- 88.4 deg, d = 1.105 Å, intensity 22.8

Cell and atoms:
Unit cell a=4.1358 b=4.1358 c=4.1358 alpha=90.00 beta=90.00 gamma=90.00
Space group Pm-3m (No. 221)
Inequivalent atoms, fractional coordinates:
Sr 0.0000 0.0000 0.0000 (multiplicity 1)
Au 0.5000 0.5000 0.5000 (multiplicity 1)
O 0.0000 0.5000 0.5000 (multiplicity 3)



# 3
Diffraction record for KIBr2O. The X-ray powder pattern is simulated, not measured: it uses a crystal structure in the Materials Project, relaxed with GGA-PBE and Cu Kα X-rays.
No peak broadening, texture or thermal motion is included.

Most intense lines, 15° ≤ 2θ ≤ 90°, sorted by position:
- 18.2 deg, d = 4.879 Å, intensity 100.0
- 28.1 deg, d = 3.180 Å, intensity 24.5
- 30.1 deg, d = 2.965 Å, intensity 18.8
- 33.5 deg, d = 2.677 Å, intensity 38.5
- 35.1 deg, d = 2.558 Å, intensity 28.5
- 41.3 deg, d = 2.184 Å, intensity 21.7

Cell and atoms:
Unit cell a=11.8617 b=12.0196 c=5.3511 alpha=90.00 beta=90.00 gamma=90.00
Space group Pnnm (No. 58)
Inequivalent atoms, fractional coordinates:
K 0.1777 0.2168 0.0000 (multiplicity 4)
I 0.0000 0.0000 0.5000 (multiplicity 2)
I 0.0000 0.5000 0.5000 (multiplicity 2)
Br 0.0204 0.7680 0.5000 (multiplicity 4)
Br 0.2227 0.4396 0.5000 (multiplicity 4)
O 0.1952 0.2262 0.5000 (multiplicity 4)



# 4
Diffraction record for MgTi2Tl2P2S10. The X-ray powder pattern is simulated, not measured: it uses a crystal structure in the Materials Project, relaxed with GGA-PBE and Cu Kα X-rays.
No peak broadening, texture or thermal motion is included.

Most intense lines, 15° ≤ 2θ ≤ 90°, sorted by position:
- 15.1 deg, d = 5.868 Å, intensity 93.8
- 18.6 deg, d = 4.774 Å, intensity 81.2
- 26.0 deg, d = 3.426 Å, intensity 79.8
- 27.5 deg, d = 3.241 Å, intensity 77.6
- 30.4 deg, d = 2.937 Å, intensity 79.1
- 32.0 deg, d = 2.800 Å, intensity 100.0

Cell and atoms:
Unit cell a=6.6739 b=7.1973 c=9.5565 alpha=107.42 beta=100.78 gamma=90.99
Space group P1 (No. 1)
Inequivalent atoms, fractional coordinates:
Mg 0.0000 0.0000 0.0000 (multiplicity 1)
Ti 0.2913 0.4402 0.7270 (multiplicity 1)
Ti 0.2906 0.8655 0.7250 (multiplicity 1)
Tl 0.1048 0.4913 0.3246 (multiplicity 1)
Tl 0.5316 0.8274 0.1932 (multiplicity 1)
P 0.0814 0.0489 0.4726 (multiplicity 1)
P 0.5138 0.2744 0.0137 (multiplicity 1)
S 0.0368 0.9184 0.2408 (multiplicity 1)
S 0.1342 0.7057 0.8691 (multiplicity 1)
S 0.2020 0.2170 0.9049 (multiplicity 1)
S 0.3869 0.0953 0.5758 (multiplicity 1)
S 0.4548 0.6033 0.5985 (multiplicity 1)
S 0.5661 0.3604 0.2350 (multiplicity 1)
S 0.6172 0.4684 0.9197 (multiplicity 1)
S 0.6209 0.9986 0.9237 (multiplicity 1)
S 0.9595 0.8467 0.5553 (multiplicity 1)
S 0.9617 0.3129 0.5510 (multiplicity 1)



# 5
Diffraction record for Li3ScCl6. The X-ray powder pattern is simulated, not measured: it uses a crystal structure in the Materials Project, relaxed with GGA-PBE and Cu Kα X-rays.
No peak broadening, texture or thermal motion is included.

Most intense lines, 15° ≤ 2θ ≤ 90°, sorted by position:
- 15.5 deg, d = 5.728 Å, intensity 24.0
- 17.9 deg, d = 4.960 Å, intensity 100.0
- 31.2 deg, d = 2.864 Å, intensity 75.0
- 36.2 deg, d = 2.480 Å, intensity 87.8
- 40.7 deg, d = 2.218 Å, intensity 39.9
- 52.2 deg, d = 1.754 Å, intensity 53.7

Cell and atoms:
Unit cell a=9.9210 b=9.9210 c=9.9210 alpha=90.00 beta=90.00 gamma=90.00
Space group Fm-3m (No. 225)
Inequivalent atoms, fractional coordinates:
Li 0.0000 0.0000 0.0000 (multiplicity 4)
Li 0.2500 0.2500 0.2500 (multiplicity 8)
Sc 0.0000 0.0000 0.5000 (multiplicity 4)
Cl 0.0000 0.0000 0.2509 (multiplicity 24)



# 6
Diffraction record for AcGaO3. The X-ray powder pattern is simulated, not measured: it uses a crystal structure in the Materials Project, relaxed with GGA-PBE and Cu Kα X-rays.
No peak broadening, texture or thermal motion is included.

Most intense lines, 15° ≤ 2θ ≤ 90°, sorted by position:
- 22.4 deg, d = 3.977 Å, intensity 25.1
- 31.8 deg, d = 2.812 Å, intensity 100.0
- 39.2 deg, d = 2.296 Å, intensity 19.0
- 45.6 deg, d = 1.989 Å, intensity 28.1
- 56.7 deg, d = 1.624 Å, intensity 40.6
- 75.6 deg, d = 1.258 Å, intensity 17.7

Cell and atoms:
Unit cell a=3.9774 b=3.9774 c=3.9774 alpha=90.00 beta=90.00 gamma=90.00
Space group Pm-3m (No. 221)
Inequivalent atoms, fractional coordinates:
Ac 0.0000 0.0000 0.0000 (multiplicity 1)
Ga 0.5000 0.5000 0.5000 (multiplicity 1)
O 0.0000 0.5000 0.5000 (multiplicity 3)



# 7
Diffraction record for Hf3ZnN. The X-ray powder pattern is simulated, not measured: it uses a crystal structure in the Materials Project, relaxed with GGA-PBE and Cu Kα X-rays.
No peak broadening, texture or thermal motion is included.

Most intense lines, 15° ≤ 2θ ≤ 90°, sorted by position:
- 34.4 deg, d = 2.609 Å, intensity 53.6
- 34.7 deg, d = 2.582 Å, intensity 100.0
- 36.1 deg, d = 2.488 Å, intensity 55.3
- 37.6 deg, d = 2.395 Å, intensity 46.3
- 37.8 deg, d = 2.378 Å, intensity 56.3
- 64.7 deg, d = 1.440 Å, intensity 24.5

Cell and atoms:
Unit cell a=3.3174 b=11.2878 c=8.8277 alpha=90.00 beta=90.00 gamma=90.00
Space group Cmcm (No. 63)
Inequivalent atoms, fractional coordinates:
Hf 0.0000 0.0453 0.2500 (multiplicity 4)
Hf 0.0000 0.3722 0.0458 (multiplicity 8)
Zn 0.0000 0.2541 0.7500 (multiplicity 4)
N 0.0000 0.0000 0.0000 (multiplicity 4)